1.
CaScSi3HO9: calculated XRD peak list (Cu Kα X-rays), based on DFT lattice parameters and positions (PBE).
Lines closer than 0.1° are merged.

Most intense lines, 2θ = 5–70°, low angle first:
d = 3.664 Å, 24.29 deg, rel. 51, hkl 0 0 2
d = 3.192 Å, 27.95 deg, rel. 84, hkl 2 0 -1
d = 3.135 Å, 28.47 deg, rel. 88, hkl 1 0 2
d = 3.018 Å, 29.60 deg, rel. 73, hkl 2 0 1
d = 2.904 Å, 30.79 deg, rel. 100, hkl 0 2 -2
d = 2.859 Å, 31.29 deg, rel. 98, hkl 0 2 1

Structure:
```
data_CaScSi3HO9
_chemical_formula_sum 'Ca2 Sc2 Si6 H2 O18'
_cell_length_a 6.867
_cell_length_b 7.141
_cell_length_c 7.586
_cell_angle_alpha 104.42
_cell_angle_beta 93.61
_cell_angle_gamma 91.84
_symmetry_space_group_name_H-M 'P -1'
_symmetry_Int_Tables_number 2
_symmetry_space_group_name_Hall '-P 1'
loop_
_atom_site_label
_atom_site_fract_x
_atom_site_fract_y
_atom_site_fract_z
Ca1 0.157 0.085 0.332
Sc1 0.149 0.594 0.357
Si1 0.134 0.260 0.954
Si2 0.324 0.910 0.741
Si3 0.357 0.476 0.722
H1 0.471 0.839 0.305
O1 0.061 0.760 0.184
O2 0.105 0.326 0.172
O3 0.166 0.872 0.563
O4 0.172 0.420 0.562
O5 0.219 0.038 0.919
O6 0.295 0.405 0.901
O7 0.398 0.712 0.784
O8 0.446 0.631 0.347
O9 0.473 0.977 0.290
```

***

2.
CaH4Se2O7: calculated XRD peak list (Cu Kα X-rays), based on DFT lattice parameters and positions (PBE).
Lines closer than 0.1° are merged.

Most intense lines, 2θ = 5–70°, low angle first:
d = 3.624 Å, 24.56 deg, rel. 76, hkl 1 1 -1
d = 3.540 Å, 25.16 deg, rel. 60, hkl 0 0 2
d = 3.338 Å, 26.71 deg, rel. 92, hkl 0 2 0
d = 3.080 Å, 28.99 deg, rel. 99, hkl 2 1 0
d = 3.022 Å, 29.56 deg, rel. 100, hkl 2 -1 0
d = 2.930 Å, 30.51 deg, rel. 83, hkl 0 2 2

Structure:
```
data_CaH4Se2O7
_chemical_formula_sum 'Ca2 H8 Se4 O14'
_cell_length_a 6.861
_cell_length_b 7.034
_cell_length_c 7.457
_cell_angle_alpha 71.71
_cell_angle_beta 89.04
_cell_angle_gamma 88.40
_symmetry_space_group_name_H-M 'P -1'
_symmetry_Int_Tables_number 2
_symmetry_space_group_name_Hall '-P 1'
loop_
_atom_site_label
_atom_site_fract_x
_atom_site_fract_y
_atom_site_fract_z
Ca1 0.125 0.271 0.425
H1 0.016 0.045 0.155
H2 0.301 0.708 0.021
H3 0.346 0.928 0.899
H4 0.469 0.740 0.765
Se1 0.131 0.321 0.896
Se2 0.341 0.750 0.462
O1 0.101 0.582 0.145
O2 0.110 0.159 0.141
O3 0.141 0.138 0.786
O4 0.185 0.914 0.516
O5 0.203 0.542 0.546
O6 0.408 0.792 0.945
O7 0.474 0.287 0.356
```

***

3.
Ca6Si2H6O13: calculated XRD peak list (Cu Kα X-rays), based on DFT lattice parameters and positions (PBE).
Lines closer than 0.1° are merged.

Most intense lines, 2θ = 5–70°, low angle first:
d = 8.753 Å, 10.11 deg, rel. 100, hkl 1 0 0
d = 3.308 Å, 26.95 deg, rel. 55, hkl 2 1 0
d = 3.027 Å, 29.51 deg, rel. 78, hkl 2 -1 2
d = 2.918 Å, 30.64 deg, rel. 92, hkl 3 0 0
d = 2.860 Å, 31.27 deg, rel. 88, hkl 0 2 2
d = 2.101 Å, 43.06 deg, rel. 47, hkl 4 -2 2

Structure:
```
data_Ca6Si2H6O13
_chemical_formula_sum 'Ca12 Si4 H12 O26'
_cell_length_a 10.1067
_cell_length_b 10.1067
_cell_length_c 7.5585
_cell_angle_alpha 90.00
_cell_angle_beta 90.00
_cell_angle_gamma 120.00
_symmetry_space_group_name_H-M 'P -3'
_symmetry_Int_Tables_number 147
_symmetry_space_group_name_Hall '-P 3'
loop_
_atom_site_label
_atom_site_fract_x
_atom_site_fract_y
_atom_site_fract_z
Ca1 0.0419 0.3750 0.3774
Ca2 0.0458 0.3828 0.8711
Si1 0.3333 0.6667 0.0966
Si2 0.3333 0.6667 0.6569
H1 0.0039 0.1661 0.6287
H2 0.0059 0.8256 0.8757
O1 0.0673 0.7955 0.3689
O2 0.0756 0.7853 0.8811
O3 0.1524 0.5562 0.1477
O4 0.1531 0.5549 0.6053
O5 0.3333 0.6667 0.8766
```

***

4.
Ca6Si3H2O13: calculated XRD peak list (Cu Kα X-rays), based on DFT lattice parameters and positions (PBE).
Lines closer than 0.1° are merged.

Most intense lines, 2θ = 5–70°, low angle first:
d = 3.095 Å, 28.85 deg, rel. 64, hkl 0 2 -2
d = 3.010 Å, 29.68 deg, rel. 48, hkl 0 2 2
d = 2.850 Å, 31.39 deg, rel. 100, hkl 2 0 -3
d = 2.838 Å, 31.53 deg, rel. 49, hkl 2 0 2
d = 2.652 Å, 33.80 deg, rel. 46, hkl 0 2 3
d = 2.573 Å, 34.87 deg, rel. 77, hkl 0 0 5

Structure:
```
data_Ca6Si3H2O13
_chemical_formula_sum 'Ca12 Si6 H4 O26'
_cell_length_a 6.893
_cell_length_b 7.006
_cell_length_c 12.985
_cell_angle_alpha 90.80
_cell_angle_beta 97.63
_cell_angle_gamma 98.05
_symmetry_space_group_name_H-M 'P -1'
_symmetry_Int_Tables_number 2
_symmetry_space_group_name_Hall '-P 1'
loop_
_atom_site_label
_atom_site_fract_x
_atom_site_fract_y
_atom_site_fract_z
Ca1 0.060 0.033 0.321
Ca2 0.094 0.477 0.703
Ca3 0.184 0.808 0.124
Ca4 0.310 0.796 0.512
Ca5 0.393 0.472 0.291
Ca6 0.419 0.805 0.898
Si1 0.114 0.289 0.098
Si2 0.215 0.299 0.509
Si3 0.310 0.285 0.884
H1 0.312 0.972 0.723
H2 0.434 0.882 0.323
O1 0.021 0.218 0.567
O2 0.110 0.806 0.947
O3 0.117 0.185 0.805
O4 0.119 0.489 0.166
O5 0.142 0.367 0.390
O6 0.243 0.151 0.176
O7 0.248 0.336 0.000
O8 0.265 0.839 0.698
O9 0.310 0.793 0.315
O10 0.334 0.485 0.582
O11 0.347 0.128 0.489
O12 0.385 0.489 0.831
O13 0.486 0.149 0.910
```